No. 1
The following is a computed powder X-ray diffraction pattern of EuGa2. It was derived from a cell relaxed with GGA-PBE, using Cu Kα.

Crystal structure
a b c (Å): 4.3323 4.3323 4.4886
angles (deg): 90.00 90.00 120.00
Space group P6/mmm (No. 191)
Unique sites:
Eu1 0.0000 0.0000 0.0000 x1
Ga1 0.3333 0.6667 0.5000 x2

Most intense lines, 10° ≤ 2θ ≤ 80°, low angle first:
2θ (°)	d (Å)	Rel. int.	h k l
23.7	3.752	12	1 0 0
31.1	2.879	100	1 0 1
40.2	2.244	15	0 0 2
41.7	2.166	39	1 1 0
47.2	1.926	4	1 0 2
52.9	1.731	22	2 0 1
59.3	1.559	27	1 1 2
67.4	1.390	11	1 0 3
69.5	1.352	19	2 1 1
76.1	1.251	6	3 0 0

---

No. 2
The following is a computed powder X-ray diffraction pattern of Eu5Ga9. It was derived from a cell relaxed with GGA-PBE, using Cu Kα.

Crystal structure
a b c (Å): 4.5931 10.7814 25.6124
angles (deg): 90.00 90.00 90.00
Space group Cmcm (No. 63)
Unique sites:
Eu1 0.0000 0.1282 0.2500 x4
Eu2 0.0000 0.1564 0.6672 x8
Eu3 0.0000 0.3494 0.5414 x8
Ga1 0.0000 0.0475 0.5471 x8
Ga2 0.0000 0.1342 0.1231 x8
Ga3 0.0000 0.3630 0.0841 x8
Ga4 0.0000 0.4226 0.2500 x4
Ga5 0.0000 0.4555 0.6608 x8

Most intense lines, 10° ≤ 2θ ≤ 80°, low angle first:
2θ (°)	d (Å)	Rel. int.	h k l
32.4	2.765	100	1 1 7
33.2	2.695	13	0 4 0
35.0	2.561	11	0 0 10
35.7	2.517	9	0 2 9
37.7	2.385	12	0 4 5
38.1	2.359	10	1 3 6
39.2	2.297	26	2 0 0
40.3	2.239	17	1 3 7
54.1	1.696	9	0 6 5
66.8	1.400	12	3 1 7